La3Tb3Er8: theoretical powder X-ray diffraction pattern (Cu Kα X-rays), based on a structure optimized by DFT (PBE).

Atomic structure:
abc: 5.662 10.764 15.196
angles: 90.00 90.00 90.00
Space group Immm (No. 71)
Inequivalent atoms, fractional coordinates:
La 0.000 0.000 0.000
La 0.000 0.500 0.314
Tb 0.000 0.000 0.500
Tb 0.000 0.297 0.500
Er 0.000 0.162 0.282
Er 0.000 0.341 0.102

Top 12 peaks for 2θ = 10–90°, sorted by position:
- 2θ = 29.50°, d = 3.028 Å, I 31, hkl 1 1 4
- 2θ = 30.53°, d = 2.928 Å, I 33, hkl 0 3 3
- 2θ = 31.61°, d = 2.831 Å, I 53, hkl 2 0 0
- 2θ = 31.79°, d = 2.815 Å, I 100, hkl 1 3 2
- 2θ = 33.46°, d = 2.678 Å, I 61, hkl 1 0 5
- 2θ = 37.49°, d = 2.399 Å, I 15, hkl 1 4 1
- 2θ = 44.52°, d = 2.035 Å, I 24, hkl 2 3 3
- 2θ = 50.90°, d = 1.794 Å, I 11, hkl 0 6 0
- 2θ = 56.40°, d = 1.631 Å, I 20, hkl 3 3 2
- 2θ = 57.48°, d = 1.603 Å, I 13, hkl 3 0 5
- 2θ = 61.16°, d = 1.515 Å, I 13, hkl 2 6 0
- 2θ = 62.29°, d = 1.490 Å, I 14, hkl 1 6 5